Structure and calculated powder diffractogram of NdTmGe2Au2 (DFT lattice parameters and positions (PBE); CuKα).

Structural model:
```
6
Lattice="4.488 0.000 0.000 -2.244 3.887 0.000 0.000 0.000 7.427" Properties=species:S:1:pos:R:3 pbc="T T T"
Nd 0.000 0.000 0.000
Tm 0.000 0.000 3.693
Ge 0.000 2.591 1.613
Ge 2.244 1.296 5.202
Au 0.000 2.591 5.663
Au 2.244 1.296 2.268
```

Peak list (6 most intense, 10° ≤ 2θ ≤ 90°, by angle)
hkl  Position (°2θ)  intensity
1 0 1  25.9  32
0 1 2  33.4  100
1 1 0  40.2  72
2 0 2  53.2  27
1 1 4  65.2  18
1 2 2  68.7  25